No. 1
Diffraction record for In8PbN6. The powder diffraction line list is simulated, not measured: it uses the PBE geometry in the Materials Project and CuKα.

Cell and atoms:
```
data_In8PbN6
_chemical_formula_sum 'In48 Pb6 N36'
_cell_length_a 17.605
_cell_length_b 21.003
_cell_length_c 5.619
_cell_angle_alpha 90.00
_cell_angle_beta 96.11
_cell_angle_gamma 90.00
_space_group_name_H-M_alt 'C 1 m 1'
_space_group_IT_number 8
loop_
_space_group_symop_operation_xyz
'x,y,z'
'x,-y,z'
'x+1/2,y+1/2,z'
'x+1/2,-y+1/2,z'
loop_
_atom_site_label
_atom_site_fract_x
_atom_site_fract_y
_atom_site_fract_z
_atom_site_occupancy
In1 0.000 0.000 0.000 1
In2 0.029 0.314 0.496 1
In3 0.048 0.402 0.953 1
In4 0.152 0.000 0.324 1
In5 0.182 0.313 0.776 1
In6 0.204 0.284 0.252 1
In7 0.213 0.156 0.512 1
In8 0.225 0.000 0.866 1
In9 0.254 0.424 0.274 1
In10 0.334 0.420 0.827 1
In11 0.354 0.267 0.662 1
In12 0.382 0.073 0.072 1
In13 0.387 0.228 0.133 1
In14 0.431 0.500 0.464 1
Pb1 0.020 0.140 0.480 1
Pb2 0.072 0.500 0.411 1
N1 0.133 0.243 0.506 1
N2 0.133 0.415 0.254 1
N3 0.172 0.070 0.607 1
N4 0.274 0.349 0.574 1
N5 0.293 0.212 0.360 1
N6 0.308 0.500 0.518 1
N7 0.450 0.269 0.460 1
N8 0.456 0.425 0.746 1
N9 0.467 0.147 0.169 1
N10 0.483 0.000 0.036 1
```

Main lines, low angle first (2θ = 5–70°):
(1 1 0), 13.447 Å, 2θ 6.6, rel. 640
(2 0 -1), 4.943 Å, 2θ 17.9, rel. 526
(2 0 1), 4.491 Å, 2θ 19.8, rel. 582
(1 3 1), 4.157 Å, 2θ 21.4, rel. 530
(2 6 0), 3.252 Å, 2θ 27.4, rel. 793
(3 5 -1), 2.993 Å, 2θ 29.9, rel. 553
(1 7 0), 2.961 Å, 2θ 30.2, rel. 1000
(6 0 0), 2.918 Å, 2θ 30.6, rel. 552
(3 1 -2), 2.608 Å, 2θ 34.4, rel. 454
(2 0 2), 2.583 Å, 2θ 34.7, rel. 644


No. 2
Diffraction record for In4S3N2. The powder diffraction line list is simulated, not measured: it uses the PBE geometry in the Materials Project and CuKα.

Cell and atoms:
```
data_In4S3N2
_chemical_formula_sum 'In8 S6 N4'
_cell_length_a 12.709
_cell_length_b 3.776
_cell_length_c 9.693
_cell_angle_alpha 90.00
_cell_angle_beta 129.32
_cell_angle_gamma 90.00
_space_group_name_H-M_alt 'C 1 2/m 1'
_space_group_IT_number 12
loop_
_space_group_symop_operation_xyz
'x,y,z'
'-x,-y,-z'
'-x,y,-z'
'x,-y,z'
'x+1/2,y+1/2,z'
'-x+1/2,-y+1/2,-z'
'-x+1/2,y+1/2,-z'
'x+1/2,-y+1/2,z'
loop_
_atom_site_label
_atom_site_fract_x
_atom_site_fract_y
_atom_site_fract_z
_atom_site_occupancy
In1 0.079 0.000 0.365 1
In2 0.220 0.500 0.846 1
S1 0.000 0.500 0.500 1
S2 0.189 0.500 0.300 1
N1 0.134 0.000 0.861 1
```

Main lines, low angle first (2θ = 5–70°):
(2 0 -1), 6.352 Å, 2θ 13.9, rel. 196
(2 0 -2), 4.780 Å, 2θ 18.6, rel. 232
(2 0 1), 3.270 Å, 2θ 27.3, rel. 255
(2 0 -3), 3.190 Å, 2θ 28.0, rel. 192
(4 0 -1), 2.955 Å, 2θ 30.2, rel. 212
(1 1 1), 2.943 Å, 2θ 30.4, rel. 335
(3 1 -2), 2.760 Å, 2θ 32.4, rel. 1000
(2 0 2), 2.349 Å, 2θ 38.3, rel. 204
(1 1 -3), 2.301 Å, 2θ 39.1, rel. 267
(5 1 0), 1.744 Å, 2θ 52.5, rel. 172


No. 3
Diffraction record for In4Se3N2. The powder diffraction line list is simulated, not measured: it uses the PBE geometry in the Materials Project and CuKα.

Cell and atoms:
```
data_In4Se3N2
_chemical_formula_sum 'In8 Se6 N4'
_cell_length_a 7.224
_cell_length_b 14.527
_cell_length_c 3.744
_cell_angle_alpha 90.00
_cell_angle_beta 90.00
_cell_angle_gamma 90.00
_space_group_name_H-M_alt 'P n n m'
_space_group_IT_number 58
loop_
_space_group_symop_operation_xyz
'x,y,z'
'-x,-y,-z'
'-x,-y,z'
'x,y,-z'
'x+1/2,-y+1/2,-z+1/2'
'-x+1/2,y+1/2,z+1/2'
'-x+1/2,y+1/2,-z+1/2'
'x+1/2,-y+1/2,z+1/2'
loop_
_atom_site_label
_atom_site_fract_x
_atom_site_fract_y
_atom_site_fract_z
_atom_site_occupancy
In1 0.195 0.064 0.000 1
In2 0.198 0.851 0.500 1
Se1 0.000 0.500 0.000 1
Se2 0.173 0.211 0.500 1
N1 0.120 0.920 0.000 1
```

Main lines, low angle first (2θ = 5–70°):
(1 3 0), 4.022 Å, 2θ 22.1, rel. 230
(2 0 0), 3.612 Å, 2θ 24.6, rel. 416
(1 4 0), 3.242 Å, 2θ 27.5, rel. 357
(1 2 1), 3.023 Å, 2θ 29.6, rel. 406
(0 3 1), 2.962 Å, 2θ 30.2, rel. 389
(1 3 1), 2.741 Å, 2θ 32.7, rel. 765
(3 1 0), 2.376 Å, 2θ 37.9, rel. 357
(1 6 0), 2.293 Å, 2θ 39.3, rel. 1000
(0 0 2), 1.872 Å, 2θ 48.6, rel. 244
(1 6 2), 1.451 Å, 2θ 64.2, rel. 170